The following is a simulated powder diffractogram of Pm4Nd4Sm. It was derived from a structure optimized by DFT (GGA-PBE), using Cu Kα (λ = 1.5418 Å).
Peak positions follow from Bragg's law for the DFT cell and can differ from measured ones.

Cell and atoms:
a = 5.181 Å, b = 6.350 Å, c = 10.969 Å
α = 95.44°, β = 103.60°, γ = 114.04°
Atoms (fractional coordinates):
Pm: 0.056 0.389 0.222
Pm: 0.389 0.722 0.555
Pm: 0.611 0.278 0.445
Pm: 0.944 0.611 0.778
Nd: 0.167 0.167 0.667
Nd: 0.278 0.944 0.111
Nd: 0.722 0.056 0.889
Nd: 0.833 0.833 0.333
Sm: 0.500 0.500 0.000

Top 10 peaks for 2θ from 10° to 80°, in order of falling intensity:
2θ = 29.9°, I 100.0
2θ = 34.6°, I 33.9
2θ = 49.8°, I 30.3
2θ = 59.2°, I 21.6
2θ = 59.1°, I 18.1
2θ = 34.7°, I 16.8
2θ = 62.1°, I 12.5
2θ = 49.7°, I 6.1
2θ = 59.3°, I 3.6
2θ = 72.9°, I 1.9